No. 1
Calculated XRD peak list
Compound: Gd3P4Pd7
Radiation: Cu Kα X-rays
Structure: a PBE-relaxed structure
Peak positions follow from Bragg's law for the DFT cell and can differ from measured ones.

Principal peaks in the range 2θ = 5–70°, sorted by position:
- 35.90 deg, I = 100
- 36.13 deg, I = 48
- 36.64 deg, I = 70
- 37.98 deg, I = 30
- 43.19 deg, I = 34
- 44.96 deg, I = 47

Structure:
Unit cell a=8.011 b=8.011 c=9.481 alpha=124.53 beta=124.53 gamma=29.16
Fractional coordinates of all 14 atoms:
Gd (0.000, 0.000, 0.000)
Gd (0.319, 0.319, 0.323)
Gd (0.681, 0.681, 0.677)
P (0.106, 0.106, 0.820)
P (0.341, 0.341, 0.746)
P (0.659, 0.659, 0.254)
P (0.894, 0.894, 0.180)
Pd (0.000, 0.000, 0.500)
Pd (0.168, 0.168, 0.422)
Pd (0.305, 0.305, 0.971)
Pd (0.491, 0.491, 0.717)
Pd (0.509, 0.509, 0.283)
Pd (0.695, 0.695, 0.029)
Pd (0.832, 0.832, 0.578)

---

No. 2
Calculated XRD peak list
Compound: CeCuSi2
Radiation: Cu Kα X-rays
Structure: a PBE-relaxed structure
Peak positions follow from Bragg's law for the DFT cell and can differ from measured ones.

Principal peaks in the range 2θ = 5–70°, sorted by position:
- 30.76 deg, I = 20
- 30.89 deg, I = 46
- 34.64 deg, I = 100
- 43.02 deg, I = 21
- 44.01 deg, I = 19
- 57.19 deg, I = 21

Structure:
Unit cell a=8.477 b=8.477 c=4.115 alpha=90.00 beta=90.00 gamma=151.28
Fractional coordinates of all 8 atoms:
Ce (0.104, 0.896, 0.750)
Ce (0.896, 0.104, 0.250)
Cu (0.321, 0.679, 0.750)
Cu (0.679, 0.321, 0.250)
Si (0.249, 0.751, 0.250)
Si (0.464, 0.536, 0.750)
Si (0.536, 0.464, 0.250)
Si (0.751, 0.249, 0.750)

---

No. 3
Calculated XRD peak list
Compound: LiAlPdF6
Radiation: Cu Kα X-rays
Structure: a PBE-relaxed structure
Peak positions follow from Bragg's law for the DFT cell and can differ from measured ones.

Principal peaks in the range 2θ = 5–70°, sorted by position:
- 20.21 deg, I = 46
- 28.01 deg, I = 100
- 40.56 deg, I = 37
- 45.72 deg, I = 23
- 53.64 deg, I = 35
- 59.10 deg, I = 23

Structure:
Unit cell a=5.075 b=5.075 c=9.246 alpha=90.00 beta=90.00 gamma=120.00
Fractional coordinates of all 18 atoms:
Li (0.333, 0.667, 0.250)
Li (0.667, 0.333, 0.750)
Al (0.333, 0.667, 0.750)
Al (0.667, 0.333, 0.250)
Pd (0.000, 0.000, 0.000)
Pd (0.000, 0.000, 0.500)
F (0.029, 0.372, 0.861)
F (0.029, 0.657, 0.639)
F (0.343, 0.372, 0.639)
F (0.343, 0.971, 0.861)
F (0.372, 0.029, 0.361)
F (0.372, 0.343, 0.139)
F (0.628, 0.657, 0.861)
F (0.628, 0.971, 0.639)
F (0.657, 0.029, 0.139)
F (0.657, 0.628, 0.361)
F (0.971, 0.343, 0.361)
F (0.971, 0.628, 0.139)

---

No. 4
Calculated XRD peak list
Compound: Na4ScIn3Si8O24
Radiation: Cu Kα X-rays
Structure: a PBE-relaxed structure
Peak positions follow from Bragg's law for the DFT cell and can differ from measured ones.

Principal peaks in the range 2θ = 5–70°, sorted by position:
- 13.31 deg, I = 73
- 28.73 deg, I = 100
- 29.56 deg, I = 47
- 34.60 deg, I = 35
- 34.93 deg, I = 41
- 54.57 deg, I = 32

Structure:
Unit cell a=7.733 b=7.733 c=10.053 alpha=116.12 beta=116.12 gamma=73.33
Fractional coordinates of all 40 atoms:
Na (0.000, 0.000, 0.000)
Na (0.357, 0.145, 0.750)
Na (0.501, 0.499, 0.500)
Na (0.855, 0.643, 0.250)
Sc (0.912, 0.088, 0.500)
In (0.409, 0.591, 0.000)
In (0.449, 0.054, 0.251)
In (0.946, 0.551, 0.749)
Si (0.136, 0.359, 0.457)
Si (0.141, 0.363, 0.044)
Si (0.214, 0.782, 0.706)
Si (0.218, 0.786, 0.294)
Si (0.637, 0.859, 0.956)
Si (0.641, 0.864, 0.543)
Si (0.715, 0.281, 0.208)
Si (0.719, 0.285, 0.792)
O (0.028, 0.912, 0.332)
O (0.080, 0.313, 0.578)
O (0.088, 0.972, 0.668)
O (0.173, 0.729, 0.831)
O (0.176, 0.591, 0.536)
O (0.178, 0.554, 0.215)
O (0.182, 0.416, 0.918)
O (0.264, 0.169, 0.073)
O (0.271, 0.827, 0.169)
O (0.331, 0.236, 0.427)
O (0.409, 0.824, 0.464)
O (0.446, 0.822, 0.785)
O (0.525, 0.407, 0.823)
O (0.584, 0.818, 0.082)
O (0.593, 0.475, 0.177)
O (0.677, 0.092, 0.036)
O (0.679, 0.052, 0.715)
O (0.679, 0.226, 0.333)
O (0.687, 0.920, 0.422)
O (0.764, 0.669, 0.573)
O (0.774, 0.321, 0.667)
O (0.831, 0.736, 0.927)
O (0.908, 0.323, 0.964)
O (0.948, 0.321, 0.285)

---

No. 5
Calculated XRD peak list
Compound: BiOF
Radiation: Cu Kα X-rays
Structure: a PBE-relaxed structure
Peak positions follow from Bragg's law for the DFT cell and can differ from measured ones.

Principal peaks in the range 2θ = 5–70°, sorted by position:
- 24.86 deg, I = 53
- 27.05 deg, I = 67
- 27.99 deg, I = 100
- 28.35 deg, I = 33
- 29.51 deg, I = 40
- 49.94 deg, I = 25

Structure:
Unit cell a=7.917 b=10.982 c=7.663 alpha=90.00 beta=98.51 gamma=90.00
Fractional coordinates of all 36 atoms:
Bi (0.017, 0.212, 0.075)
Bi (0.017, 0.288, 0.575)
Bi (0.273, 0.009, 0.422)
Bi (0.273, 0.491, 0.922)
Bi (0.469, 0.193, 0.128)
Bi (0.469, 0.307, 0.628)
Bi (0.531, 0.693, 0.372)
Bi (0.531, 0.807, 0.872)
Bi (0.727, 0.509, 0.078)
Bi (0.727, 0.991, 0.578)
Bi (0.983, 0.712, 0.425)
Bi (0.983, 0.788, 0.925)
O (0.231, 0.089, 0.148)
O (0.231, 0.411, 0.648)
O (0.249, 0.184, 0.567)
O (0.249, 0.316, 0.067)
O (0.488, 0.605, 0.102)
O (0.488, 0.895, 0.602)
O (0.512, 0.105, 0.398)
O (0.512, 0.395, 0.898)
O (0.751, 0.684, 0.933)
O (0.751, 0.816, 0.433)
O (0.769, 0.589, 0.352)
O (0.769, 0.911, 0.852)
F (0.003, 0.136, 0.795)
F (0.003, 0.364, 0.295)
F (0.057, 0.623, 0.129)
F (0.057, 0.877, 0.629)
F (0.430, 0.648, 0.708)
F (0.430, 0.852, 0.208)
F (0.570, 0.148, 0.792)
F (0.570, 0.352, 0.292)
F (0.943, 0.123, 0.371)
F (0.943, 0.377, 0.871)
F (0.997, 0.636, 0.705)
F (0.997, 0.864, 0.205)

---

No. 6
Calculated XRD peak list
Compound: KZr4BiO12
Radiation: Cu Kα X-rays
Structure: a PBE-relaxed structure
Peak positions follow from Bragg's law for the DFT cell and can differ from measured ones.

Principal peaks in the range 2θ = 5–70°, sorted by position:
- 10.50 deg, I = 36
- 15.44 deg, I = 33
- 18.71 deg, I = 100
- 30.49 deg, I = 71
- 30.70 deg, I = 57
- 31.17 deg, I = 65

Structure:
Unit cell a=8.422 b=5.740 c=5.740 alpha=90.74 beta=90.00 gamma=90.00
Fractional coordinates of all 18 atoms:
K (0.000, 0.000, 0.000)
Zr (0.245, 0.481, 0.961)
Zr (0.245, 0.961, 0.481)
Zr (0.755, 0.481, 0.961)
Zr (0.755, 0.961, 0.481)
Bi (0.500, 0.423, 0.423)
O (0.000, 0.500, 0.942)
O (0.000, 0.942, 0.500)
O (0.243, 0.169, 0.779)
O (0.243, 0.779, 0.169)
O (0.264, 0.282, 0.282)
O (0.331, 0.640, 0.640)
O (0.500, 0.061, 0.496)
O (0.500, 0.496, 0.061)
O (0.669, 0.640, 0.640)
O (0.736, 0.282, 0.282)
O (0.757, 0.169, 0.779)
O (0.757, 0.779, 0.169)